Theoretical PXRD pattern
Compound: Rb2ThBr8
Radiation: Cu Kα X-rays
Structure: a structure optimized by DFT (GGA-PBE)
Neutral-atom scattering factors, no anomalous dispersion.

Cell and atoms:
```
Rb2ThBr8
1.0
6.000 -6.084 0.000
6.000 6.084 0.000
-4.085 0.000 7.338
Rb Th Br
2 1 8
Direct
0.211 0.211 0.122 Rb
0.789 0.789 0.878 Rb
0.000 0.000 0.500 Th
0.134 0.816 0.730 Br
0.184 0.866 0.270 Br
0.271 0.271 0.752 Br
0.437 0.437 0.578 Br
0.563 0.563 0.422 Br
0.729 0.729 0.248 Br
0.816 0.134 0.730 Br
0.866 0.184 0.270 Br
```

Top 10 peaks for 15° ≤ 2θ ≤ 90°, most intense first:
2θ (°), I (rel.)
30.82, 100
26.30, 77
25.23, 72
29.25, 52
39.08, 49
44.70, 46
43.80, 46
33.78, 43
43.99, 41
36.86, 40